No. 1
Theoretical XRD peak list of Mg5In2Ga for a wavelength of 1.5418 Å, from a DFT-relaxed cell (PBE, Alexandria).
Lines closer than 0.1° are merged.

Structure:
```
Mg5In2Ga
1.0
4.8488 0.0000 0.0000
-2.4244 4.1991 0.0000
0.0000 0.0000 19.0538
Mg In Ga
10 4 2
Direct
0.0000 0.0000 0.1644
0.0000 0.0000 0.3356
0.0000 0.0000 0.6644
0.0000 0.0000 0.8356
0.3333 0.6667 0.0541
0.3333 0.6667 0.2500
0.3333 0.6667 0.4459
0.6667 0.3333 0.5541
0.6667 0.3333 0.7500
0.6667 0.3333 0.9459
0.3333 0.6667 0.6020
0.3333 0.6667 0.8980
0.6667 0.3333 0.1020
0.6667 0.3333 0.3980
0.3333 0.6667 0.7500
0.6667 0.3333 0.2500
```

Top 12 peaks for 10° ≤ 2θ ≤ 90°, by angle:
- d = 4.199 Å, 21.2°, intensity 44
- d = 4.101 Å, 21.7°, intensity 90
- d = 3.503 Å, 25.4°, intensity 35
- d = 3.176 Å, 28.1°, intensity 23
- d = 2.533 Å, 35.4°, intensity 49
- d = 2.424 Å, 37.1°, intensity 100
- d = 2.284 Å, 39.5°, intensity 64
- d = 1.927 Å, 47.2°, intensity 33
- d = 1.751 Å, 52.2°, intensity 15
- d = 1.662 Å, 55.3°, intensity 23
- d = 1.400 Å, 66.8°, intensity 17
- d = 1.371 Å, 68.4°, intensity 24

=====

No. 2
Theoretical XRD peak list of SrHF3 for a wavelength of 1.5418 Å, from a DFT-relaxed cell (PBE, Alexandria).
Lines closer than 0.1° are merged.

Structure:
```
SrHF3
1.0
5.8815 0.0000 0.0000
0.0000 6.3695 0.0000
-3.5099 0.0000 8.1714
Sr H F
4 4 12
Direct
0.1743 0.1538 0.2037
0.1743 0.3462 0.7037
0.8257 0.6538 0.2963
0.8257 0.8462 0.7963
0.2905 0.5582 0.0573
0.2905 0.9418 0.5573
0.7095 0.0582 0.4427
0.7095 0.4418 0.9427
0.1146 0.1357 0.9159
0.1146 0.3643 0.4159
0.1962 0.6103 0.9254
0.1962 0.8897 0.4254
0.3941 0.5008 0.1914
0.3941 0.9992 0.6914
0.6059 0.0008 0.3086
0.6059 0.4992 0.8086
0.8038 0.1103 0.5746
0.8038 0.3897 0.0746
0.8854 0.6357 0.5841
0.8854 0.8643 0.0841
```

Top 12 peaks for 10° ≤ 2θ ≤ 90°, by angle:
- d = 5.404 Å, 16.4°, intensity 52
- d = 4.226 Å, 21.0°, intensity 66
- d = 4.121 Å, 21.6°, intensity 100
- d = 4.086 Å, 21.8°, intensity 53
- d = 3.470 Å, 25.7°, intensity 78
- d = 2.967 Å, 30.1°, intensity 41
- d = 2.668 Å, 33.6°, intensity 50
- d = 2.487 Å, 36.1°, intensity 30
- d = 2.457 Å, 36.6°, intensity 37
- d = 2.158 Å, 41.9°, intensity 34
- d = 2.070 Å, 43.7°, intensity 48
- d = 1.987 Å, 45.6°, intensity 32

=====

No. 3
Theoretical XRD peak list of LaHo5In3 for a wavelength of 1.5418 Å, from a DFT-relaxed cell (PBE, Alexandria).
Lines closer than 0.1° are merged.

Structure:
```
LaHo5In3
1.0
9.3771 0.0000 0.0000
-4.6885 8.1208 0.0000
0.0000 0.0000 6.7601
La Ho In
2 10 6
Direct
0.0000 0.0000 0.0000
0.0000 0.0000 0.5000
0.0000 0.3299 0.2500
0.0000 0.6701 0.7500
0.3299 0.0000 0.2500
0.3299 0.3299 0.7500
0.3333 0.6667 0.0000
0.3333 0.6667 0.5000
0.6667 0.3333 0.0000
0.6667 0.3333 0.5000
0.6701 0.0000 0.7500
0.6701 0.6701 0.2500
0.0000 0.3421 0.7500
0.0000 0.6579 0.2500
0.3421 0.0000 0.7500
0.3421 0.3421 0.2500
0.6579 0.0000 0.2500
0.6579 0.6579 0.7500
```

Top 12 peaks for 10° ≤ 2θ ≤ 90°, by angle:
- d = 2.742 Å, 32.7°, intensity 95
- d = 2.707 Å, 33.1°, intensity 100
- d = 2.113 Å, 42.8°, intensity 8
- d = 1.926 Å, 47.2°, intensity 34
- d = 1.690 Å, 54.3°, intensity 8
- d = 1.569 Å, 58.8°, intensity 35
- d = 1.563 Å, 59.1°, intensity 19
- d = 1.434 Å, 65.1°, intensity 28
- d = 1.353 Å, 69.4°, intensity 11
- d = 1.214 Å, 78.9°, intensity 15
- d = 1.147 Å, 84.4°, intensity 14
- d = 1.107 Å, 88.2°, intensity 6

=====

No. 4
Theoretical XRD peak list of LaPrGdHg for a wavelength of 1.5418 Å, from a DFT-relaxed cell (PBE, Alexandria).
Lines closer than 0.1° are merged.

Structure:
```
LaPrGdHg
1.0
0.0000 3.9511 3.9511
3.9511 0.0000 3.9511
3.9511 3.9511 0.0000
La Pr Gd Hg
1 1 1 1
Direct
0.0000 0.0000 0.0000
0.5000 0.5000 0.5000
0.7500 0.7500 0.7500
0.2500 0.2500 0.2500
```

Top 11 peaks for 10° ≤ 2θ ≤ 90°, by angle:
- d = 4.562 Å, 19.5°, intensity 1
- d = 3.951 Å, 22.5°, intensity 2
- d = 2.794 Å, 32.0°, intensity 100
- d = 2.383 Å, 37.8°, intensity 1
- d = 2.281 Å, 39.5°, intensity 1
- d = 1.976 Å, 45.9°, intensity 19
- d = 1.767 Å, 51.7°, intensity 1
- d = 1.613 Å, 57.1°, intensity 39
- d = 1.397 Å, 67.0°, intensity 12
- d = 1.249 Å, 76.2°, intensity 17
- d = 1.141 Å, 85.0°, intensity 4